(1)
Theoretical powder diffraction line list of Li5MnCr3O8 for λ = 1.5418 Å (Cu Kα), from a crystal structure in Alexandria, relaxed with PBE+U.

Most intense lines, 2θ = 10–80°, by intensity:
| d [Å] | Rel. int. |
| --- | --- |
| 2.050 | 100.0 |
| 4.617 | 86.4 |
| 4.984 | 61.8 |
| 2.575 | 57.5 |
| 2.520 | 54.3 |
| 1.504 | 51.5 |

Cell and atoms:
```
Li5MnCr3O8
1.0
6.0159 0.0000 0.0000
-3.0079 5.2099 0.0000
0.0000 0.0000 9.9681
Li Mn Cr O
10 2 6 16
direct
0.0000 0.0000 0.0000
0.0000 0.0000 0.5000
0.1966 0.3931 0.4242
0.1966 0.8034 0.4242
0.3333 0.6667 0.2101
0.3931 0.1966 0.9242
0.6069 0.8034 0.4242
0.6667 0.3333 0.7101
0.8034 0.1966 0.9242
0.8034 0.6069 0.9242
0.3333 0.6667 0.9608
0.6667 0.3333 0.4608
0.1677 0.3354 0.6992
0.1677 0.8323 0.6992
0.3354 0.1677 0.1992
0.6646 0.8323 0.6992
0.8323 0.1677 0.1992
0.8323 0.6646 0.1992
0.0000 0.0000 0.3103
0.0000 0.0000 0.8103
0.0122 0.5061 0.8140
0.1585 0.3171 0.0849
0.1585 0.8415 0.0849
0.3171 0.1585 0.5849
0.3333 0.6667 0.5847
0.4939 0.5061 0.8140
0.4939 0.9878 0.8140
0.5061 0.0122 0.3140
0.5061 0.4939 0.3140
0.6667 0.3333 0.0847
0.6829 0.8415 0.0849
0.8415 0.1585 0.5849
0.8415 0.6829 0.5849
0.9878 0.4939 0.3140
```



(2)
Theoretical powder diffraction line list of Li4MnCrO6 for λ = 1.5418 Å (Cu Kα), from a crystal structure in Alexandria, relaxed with PBE+U.

Most intense lines, 2θ = 10–80°, by intensity:
| d [Å] | Rel. int. |
| --- | --- |
| 4.808 | 100.0 |
| 2.048 | 67.8 |
| 2.088 | 36.2 |
| 4.161 | 32.4 |
| 1.456 | 26.7 |
| 3.760 | 23.9 |

Cell and atoms:
```
Li4MnCrO6
1.0
2.5294 -4.3229 0.0000
2.5294 4.3229 0.0000
-1.5179 0.0000 9.6163
Li Mn Cr O
8 2 2 12
direct
0.0000 0.5000 0.0000
0.1453 0.3258 0.4979
0.2465 0.7535 0.7500
0.3258 0.1453 0.9979
0.5000 0.0000 0.5000
0.6742 0.8547 0.0021
0.7535 0.2465 0.2500
0.8547 0.6742 0.5021
0.0831 0.9169 0.2500
0.9169 0.0831 0.7500
0.4219 0.5781 0.2500
0.5781 0.4219 0.7500
0.0673 0.2082 0.1367
0.1461 0.6454 0.3639
0.2082 0.0673 0.6367
0.2854 0.4242 0.8612
0.3546 0.8539 0.1361
0.4242 0.2854 0.3612
0.5758 0.7146 0.6388
0.6454 0.1461 0.8639
0.7146 0.5758 0.1388
0.7918 0.9327 0.3633
0.8539 0.3546 0.6361
0.9327 0.7918 0.8633
```